No. 1
# CrCuPd14
Computed XRD peak list, a wavelength of 1.5418 Å. Input: a structure optimized by DFT (PBE).
Kinematic intensities with the Lorentz-polarization factor, no thermal factor.

Structure:
```
data_CrCuPd14
_chemical_formula_sum 'Cr1 Cu1 Pd14'
_symmetry_space_group_name_H-M 'P 4/m m m'
_symmetry_Int_Tables_number 123
_symmetry_space_group_name_Hall '-P 4 2'
_cell_length_a 5.568
_cell_length_b 5.568
_cell_length_c 7.821
_cell_angle_alpha 90.00
_cell_angle_beta 90.00
_cell_angle_gamma 90.00
loop_
_atom_site_label
_atom_site_type_symbol
_atom_site_fract_x
_atom_site_fract_y
_atom_site_fract_z
Cr1 Cr 0.000 0.000 0.000
Cu1 Cu 0.500 0.500 0.000
Pd1 Pd 0.000 0.000 0.500
Pd2 Pd 0.000 0.500 0.000
Pd3 Pd 0.000 0.500 0.500
Pd4 Pd 0.249 0.249 0.243
Pd5 Pd 0.500 0.500 0.500
```

Principal peaks in the range 2θ from 5° to 70°, by intensity:
2θ/deg, I/Imax, (hkl)
39.74, 100, 2 0 2
46.11, 33, 2 2 0
67.52, 20, 2 2 4
46.44, 16, 0 0 4
67.25, 10, 4 0 0
25.32, 1, 1 1 1
34.18, 1, 2 0 1
22.58, 1, 1 1 0
11.31, 1, 0 0 1
34.40, 1, 0 0 3
68.85, 1, 2 0 5
32.26, 1, 1 1 2

***

No. 2
# Zn2MoP
Computed XRD peak list, a wavelength of 1.5418 Å. Input: a structure optimized by DFT (PBE).
Kinematic intensities with the Lorentz-polarization factor, no thermal factor.

Structure:
```
data_Zn2MoP
_chemical_formula_sum 'Zn2 Mo1 P1'
_symmetry_space_group_name_H-M 'P 4/m m m'
_symmetry_Int_Tables_number 123
_symmetry_space_group_name_Hall '-P 4 2'
_cell_length_a 3.493
_cell_length_b 3.493
_cell_length_c 4.871
_cell_angle_alpha 90.00
_cell_angle_beta 90.00
_cell_angle_gamma 90.00
loop_
_atom_site_label
_atom_site_type_symbol
_atom_site_fract_x
_atom_site_fract_y
_atom_site_fract_z
Zn1 Zn 0.000 0.000 0.248
Mo1 Mo 0.500 0.500 0.000
P1 P 0.500 0.500 0.500
```

Principal peaks in the range 2θ from 5° to 70°, by intensity:
2θ/deg, I/Imax, (hkl)
45.40, 100, 1 0 2
36.37, 96, 1 1 0
52.39, 32, 2 0 0
18.21, 17, 0 0 1
31.52, 16, 1 0 1
40.97, 9, 1 1 1
62.43, 5, 2 1 1
55.93, 4, 2 0 1
63.15, 3, 1 0 3
69.25, 1, 1 1 3
56.69, 1, 0 0 3
25.50, 1, 1 0 0

***

No. 3
# K2YBrO2
Computed XRD peak list, a wavelength of 1.5418 Å. Input: a structure optimized by DFT (PBE).
Kinematic intensities with the Lorentz-polarization factor, no thermal factor.

Structure:
```
data_K2YBrO2
_chemical_formula_sum 'K2 Y1 Br1 O2'
_symmetry_space_group_name_H-M 'P 4/m m m'
_symmetry_Int_Tables_number 123
_symmetry_space_group_name_Hall '-P 4 2'
_cell_length_a 4.480
_cell_length_b 4.480
_cell_length_c 6.661
_cell_angle_alpha 90.00
_cell_angle_beta 90.00
_cell_angle_gamma 90.00
loop_
_atom_site_label
_atom_site_type_symbol
_atom_site_fract_x
_atom_site_fract_y
_atom_site_fract_z
K1 K 0.000 0.000 0.244
Y1 Y 0.500 0.500 0.000
Br1 Br 0.500 0.500 0.500
O1 O 0.000 0.500 0.000
```

Principal peaks in the range 2θ from 5° to 70°, by intensity:
2θ/deg, I/Imax, (hkl)
33.53, 100, 1 0 2
28.17, 60, 1 1 0
53.36, 49, 2 1 2
40.26, 37, 2 0 0
19.82, 23, 1 0 0
58.25, 12, 2 2 0
63.07, 12, 1 1 4
26.77, 11, 0 0 2
68.91, 11, 3 0 2
65.93, 10, 3 1 0
13.29, 9, 0 0 1
49.01, 8, 2 0 2

***

No. 4
# NbGeS4
Computed XRD peak list, a wavelength of 1.5418 Å. Input: a structure optimized by DFT (PBE).
Kinematic intensities with the Lorentz-polarization factor, no thermal factor.

Structure:
```
data_NbGeS4
_chemical_formula_sum 'Nb2 Ge2 S8'
_symmetry_space_group_name_H-M 'P 2 2 2'
_symmetry_Int_Tables_number 16
_cell_length_a 6.189
_cell_length_b 6.201
_cell_length_c 11.199
_cell_angle_alpha 90.00
_cell_angle_beta 90.00
_cell_angle_gamma 90.00
loop_
_symmetry_equiv_pos_as_xyz
'x,y,z'
'-x,-y,z'
'x,-y,-z'
'-x,y,-z'
loop_
_atom_site_label
_atom_site_type_symbol
_atom_site_fract_x
_atom_site_fract_y
_atom_site_fract_z
Nb1 Nb 0.000 0.000 0.000
Nb2 Nb 0.000 0.500 0.500
Ge1 Ge 0.000 0.000 0.500
Ge2 Ge 0.500 0.000 0.000
S1 S 0.198 0.250 0.391
S2 S 0.250 0.197 0.891
```

Principal peaks in the range 2θ from 5° to 70°, by intensity:
2θ/deg, I/Imax, (hkl)
16.35, 100, 0 1 1
15.83, 99, 0 0 2
14.30, 75, 1 0 0
43.58, 56, 2 0 4
25.82, 50, 1 1 2
21.39, 40, 1 0 2
33.05, 35, 2 0 2
41.22, 32, 2 2 0
44.41, 25, 2 2 2
36.17, 21, 1 2 2
40.55, 19, 2 1 3
33.32, 17, 2 1 1